For Y2GaMo2, a DFT-relaxed cell (PBE, Alexandria) gives the theoretical XRD peak list in this record (λ = 1.5418 Å (Cu Kα)).

Principal peaks in the range 5 to 70 degrees two-theta, by angle:
Position (°2θ), I (rel.)
32.49, 36
35.02, 100
39.98, 26
40.99, 27
58.59, 18
69.42, 13

Structure:
Cell: 6.9629 6.9629 4.5102 Å, 90.00 90.00 90.00°
Fractional coordinates of all 10 atoms:
1 Y 0.1788 0.3212 0.0000
2 Y 0.3212 0.8212 0.0000
3 Y 0.6788 0.1788 0.0000
4 Y 0.8212 0.6788 0.0000
5 Ga 0.0000 0.0000 0.5000
6 Ga 0.5000 0.5000 0.5000
7 Mo 0.1201 0.6201 0.5000
8 Mo 0.3799 0.1201 0.5000
9 Mo 0.6201 0.8799 0.5000
10 Mo 0.8799 0.3799 0.5000


For Pr5Sn2Bi, a DFT-relaxed cell (PBE, Alexandria) gives the theoretical XRD peak list in this record (λ = 1.5418 Å (Cu Kα)).

Principal peaks in the range 5 to 70 degrees two-theta, by angle:
Position (°2θ), I (rel.)
28.84, 23
29.97, 100
32.55, 32
33.40, 67
61.90, 20
61.97, 17

Structure:
Cell: 9.3937 9.3937 9.3937 Å, 126.31 126.31 79.38°
Fractional coordinates of all 16 atoms:
1 Pr 0.0000 0.0000 0.0000
2 Pr 0.0131 0.5131 0.8222
3 Pr 0.1910 0.0131 0.5000
4 Pr 0.3090 0.8090 0.8222
5 Pr 0.4869 0.3090 0.5000
6 Pr 0.5000 0.5000 0.0000
7 Pr 0.5131 0.6910 0.5000
8 Pr 0.6910 0.1910 0.1778
9 Pr 0.8090 0.9869 0.5000
10 Pr 0.9869 0.4869 0.1778
11 Sn 0.1371 0.3629 0.5000
12 Sn 0.3629 0.8629 0.2258
13 Sn 0.6371 0.1371 0.7742
14 Sn 0.8629 0.6371 0.5000
15 Bi 0.2500 0.2500 0.0000
16 Bi 0.7500 0.7500 0.0000


For Li6Se7, a DFT-relaxed cell (PBE, Alexandria) gives the theoretical XRD peak list in this record (λ = 1.5418 Å (Cu Kα)).

Principal peaks in the range 5 to 70 degrees two-theta, by angle:
Position (°2θ), I (rel.)
7.58, 50
15.19, 65
18.73, 91
22.86, 100
37.98, 51
41.87, 67

Structure:
Cell: 12.0966 12.0966 12.0966 Å, 26.39 26.39 26.39°
Fractional coordinates of all 13 atoms:
1 Li 0.0890 0.0890 0.0890
2 Li 0.1969 0.1969 0.1969
3 Li 0.3327 0.3327 0.3327
4 Li 0.6673 0.6673 0.6673
5 Li 0.8031 0.8031 0.8031
6 Li 0.9110 0.9110 0.9110
7 Se 0.0633 0.5619 0.5619
8 Se 0.4381 0.4381 0.9367
9 Se 0.4381 0.9367 0.4381
10 Se 0.5000 0.5000 0.5000
11 Se 0.5619 0.0633 0.5619
12 Se 0.5619 0.5619 0.0633
13 Se 0.9367 0.4381 0.4381